# 1
The following is a calculated powder diffractogram of Ho2ErCd5. It was derived from a crystal structure in OQMD, relaxed with GGA-PBE, using a wavelength of 1.5418 Å.

Cell lengths 5.0896, 6.3769, 6.3769 Å; angles 69.62, 90.00, 90.00 degrees
Fractional coordinates of all 8 atoms:
Ho: 0.0000 0.0000 0.0000
Ho: 0.5000 0.2982 0.2982
Er: 0.0000 0.5390 0.5390
Cd: 0.0000 0.0300 0.5008
Cd: 0.0000 0.5008 0.0300
Cd: 0.5000 0.2918 0.8048
Cd: 0.5000 0.7866 0.7866
Cd: 0.5000 0.8048 0.2918

The 8 most intense peaks (2θ from 5° to 70°), by angle:
2θ 34.25, d = 2.618 Å, intensity 225
2θ 34.81, d = 2.577 Å, intensity 1000
2θ 35.27, d = 2.545 Å, intensity 256
2θ 49.98, d = 1.825 Å, intensity 152
2θ 50.12, d = 1.820 Å, intensity 90
2θ 61.69, d = 1.504 Å, intensity 120
2θ 62.77, d = 1.480 Å, intensity 90
2θ 63.00, d = 1.475 Å, intensity 173


# 2
The following is a calculated powder diffractogram of HoErCd4. It was derived from a crystal structure in OQMD, relaxed with GGA-PBE, using a wavelength of 1.5418 Å.

Cell lengths 3.3893, 4.9347, 8.5460 Å; angles 90.00, 90.03, 90.00 degrees
Fractional coordinates of all 6 atoms:
Ho: 0.0000 0.0000 0.0000
Er: 0.0000 0.5000 0.5000
Cd: 0.4943 0.0000 0.6665
Cd: 0.4943 0.5000 0.1667
Cd: 0.5057 0.0000 0.3335
Cd: 0.5057 0.5000 0.8333

The 8 most intense peaks (2θ from 5° to 70°), by angle:
2θ 20.79, d = 4.273 Å, intensity 50
2θ 33.75, d = 2.655 Å, intensity 1000
2θ 36.42, d = 2.467 Å, intensity 811
2θ 50.49, d = 1.807 Å, intensity 317
2θ 54.12, d = 1.695 Å, intensity 84
2θ 63.84, d = 1.458 Å, intensity 309
2θ 65.53, d = 1.424 Å, intensity 140
2θ 66.99, d = 1.397 Å, intensity 262


# 3
The following is a calculated powder diffractogram of Ho2ErMg3CdIn2. It was derived from a crystal structure in OQMD, relaxed with GGA-PBE, using a wavelength of 1.5418 Å.

Cell lengths 4.5807, 7.5268, 7.5268 Å; angles 119.97, 90.00, 90.00 degrees
Fractional coordinates of all 9 atoms:
Ho: 0.0000 0.2132 0.7868
Ho: 0.0000 0.7868 0.2132
Er: 0.0000 0.3604 0.3604
Mg: 0.5000 0.0281 0.0281
Mg: 0.5000 0.5455 0.7868
Mg: 0.5000 0.7868 0.5455
Cd: 0.0000 0.7867 0.7867
In: 0.5000 0.1202 0.4534
In: 0.5000 0.4534 0.1202

The 8 most intense peaks (2θ from 5° to 70°), by angle:
2θ 23.64, d = 3.764 Å, intensity 224
2θ 27.36, d = 3.260 Å, intensity 249
2θ 30.74, d = 2.908 Å, intensity 637
2θ 33.75, d = 2.656 Å, intensity 1000
2θ 39.34, d = 2.290 Å, intensity 241
2θ 41.59, d = 2.172 Å, intensity 339
2θ 54.56, d = 1.682 Å, intensity 212
2θ 65.66, d = 1.422 Å, intensity 200


# 4
The following is a calculated powder diffractogram of HoErCd2Sn2. It was derived from a crystal structure in OQMD, relaxed with GGA-PBE, using a wavelength of 1.5418 Å.

Cell lengths 8.4831, 8.4831, 8.4831 Å; angles 150.14, 150.14, 42.74 degrees
Fractional coordinates of all 6 atoms:
Ho: 0.0000 0.0000 0.0000
Er: 0.6740 0.6740 0.0000
Cd: 0.3369 0.8369 0.5000
Cd: 0.8369 0.3369 0.5000
Sn: 0.1943 0.1943 0.0000
Sn: 0.4799 0.4799 0.0000

The 8 most intense peaks (2θ from 5° to 70°), by angle:
2θ 28.88, d = 3.091 Å, intensity 270
2θ 31.07, d = 2.879 Å, intensity 736
2θ 34.05, d = 2.633 Å, intensity 380
2θ 36.93, d = 2.434 Å, intensity 1000
2θ 41.31, d = 2.186 Å, intensity 576
2θ 54.56, d = 1.682 Å, intensity 394
2θ 59.84, d = 1.546 Å, intensity 193
2θ 66.46, d = 1.407 Å, intensity 198


# 5
The following is a calculated powder diffractogram of ErCdSbI2. It was derived from a crystal structure in OQMD, relaxed with GGA-PBE, using a wavelength of 1.5418 Å.

Cell lengths 4.3605, 4.3605, 10.8701 Å; angles 90.00, 90.00, 120.00 degrees
Fractional coordinates of all 5 atoms:
Er: 0.0000 0.0000 0.0000
Cd: 0.3333 0.6667 0.3039
Sb: 0.6667 0.3333 0.1510
I: 0.0000 0.0000 0.4691
I: 0.3333 0.6667 0.8233

The 8 most intense peaks (2θ from 5° to 70°), by angle:
2θ 8.13, d = 10.870 Å, intensity 403
2θ 28.79, d = 3.101 Å, intensity 1000
2θ 40.91, d = 2.206 Å, intensity 345
2θ 41.41, d = 2.180 Å, intensity 357
2θ 51.22, d = 1.784 Å, intensity 198
2θ 59.62, d = 1.551 Å, intensity 125
2θ 67.18, d = 1.393 Å, intensity 135
2θ 67.90, d = 1.380 Å, intensity 168


# 6
The following is a calculated powder diffractogram of Sm2ErMg3CdIn2. It was derived from a crystal structure in OQMD, relaxed with GGA-PBE, using a wavelength of 1.5418 Å.

Cell lengths 4.6809, 7.5469, 7.5469 Å; angles 119.08, 90.00, 90.00 degrees
Fractional coordinates of all 9 atoms:
Sm: 0.0000 0.2119 0.7881
Sm: 0.0000 0.7881 0.2119
Er: 0.0000 0.3624 0.3624
Mg: 0.5000 0.0240 0.0240
Mg: 0.5000 0.5452 0.7861
Mg: 0.5000 0.7861 0.5452
Cd: 0.0000 0.7781 0.7781
In: 0.5000 0.1241 0.4519
In: 0.5000 0.4519 0.1241

The 8 most intense peaks (2θ from 5° to 70°), by angle:
2θ 18.96, d = 4.681 Å, intensity 206
2θ 23.58, d = 3.773 Å, intensity 238
2θ 27.04, d = 3.298 Å, intensity 245
2θ 30.17, d = 2.962 Å, intensity 306
2θ 30.43, d = 2.938 Å, intensity 697
2θ 33.23, d = 2.696 Å, intensity 1000
2θ 33.55, d = 2.671 Å, intensity 531
2θ 38.46, d = 2.340 Å, intensity 390


# 7
The following is a calculated powder diffractogram of Er2TmCd4In2. It was derived from a crystal structure in OQMD, relaxed with GGA-PBE, using a wavelength of 1.5418 Å.

Cell lengths 4.5715, 7.4411, 7.4411 Å; angles 119.93, 90.00, 90.00 degrees
Fractional coordinates of all 9 atoms:
Er: 0.0000 0.2138 0.7862
Er: 0.0000 0.7862 0.2138
Tm: 0.0000 0.3585 0.3585
Cd: 0.0000 0.7856 0.7856
Cd: 0.5000 0.0296 0.0296
Cd: 0.5000 0.5425 0.7861
Cd: 0.5000 0.7861 0.5425
In: 0.5000 0.1198 0.4525
In: 0.5000 0.4525 0.1198

The 8 most intense peaks (2θ from 5° to 70°), by angle:
2θ 30.98, d = 2.886 Å, intensity 728
2θ 34.03, d = 2.634 Å, intensity 1000
2θ 36.89, d = 2.437 Å, intensity 396
2θ 39.42, d = 2.286 Å, intensity 307
2θ 42.02, d = 2.150 Å, intensity 211
2θ 55.11, d = 1.667 Å, intensity 365
2θ 66.43, d = 1.407 Å, intensity 290
2θ 68.06, d = 1.378 Å, intensity 130


# 8
The following is a calculated powder diffractogram of Er3Mg3CdIr2. It was derived from a crystal structure in OQMD, relaxed with GGA-PBE, using a wavelength of 1.5418 Å.

Cell lengths 7.3702, 7.3702, 4.1034 Å; angles 90.00, 90.00, 120.00 degrees
Fractional coordinates of all 9 atoms:
Er: 0.0000 0.5735 0.0000
Er: 0.4265 0.4265 0.0000
Er: 0.5735 0.0000 0.0000
Mg: 0.0000 0.2577 0.5000
Mg: 0.2577 0.0000 0.5000
Mg: 0.7423 0.7423 0.5000
Cd: 0.0000 0.0000 0.0000
Ir: 0.3333 0.6667 0.5000
Ir: 0.6667 0.3333 0.5000

The 8 most intense peaks (2θ from 5° to 70°), by angle:
2θ 13.87, d = 6.383 Å, intensity 316
2θ 24.15, d = 3.685 Å, intensity 342
2θ 32.66, d = 2.742 Å, intensity 776
2θ 35.64, d = 2.519 Å, intensity 1000
2θ 37.27, d = 2.412 Å, intensity 190
2θ 42.49, d = 2.128 Å, intensity 253
2θ 43.52, d = 2.080 Å, intensity 217
2θ 44.14, d = 2.052 Å, intensity 217